Entry 1:
Calculated PXRD pattern of MgTe2Mo2W2Se4S2 for a wavelength of 1.5418 Å, from DFT lattice parameters and positions (GGA-PBE).

Crystal structure
Unit cell a=5.7817 b=3.3380 c=44.9881 alpha=90.00 beta=90.22 gamma=90.00
Space group Cm (No. 8)
Symmetry-distinct sites (fractional):
Mg (0.0000, 0.0000, 0.0000)
Te (0.0014, 0.0000, 0.5154)
Te (0.4989, 0.5000, 0.4310)
Mo (0.3335, 0.0000, 0.4732)
Mo (0.4994, 0.5000, 0.2852)
W (0.0024, 0.0000, 0.9004)
W (0.3338, 0.0000, 0.1027)
Se (0.0014, 0.0000, 0.1399)
Se (0.3317, 0.0000, 0.2481)
Se (0.3337, 0.0000, 0.3223)
Se (0.4994, 0.5000, 0.0652)
S (0.3348, 0.0000, 0.8667)
S (0.3368, 0.0000, 0.9344)

Peak list (10 most intense, 15 to 90 degrees two-theta, in order of falling intensity)
34.89 deg, rel. 100, (1 1 8); 30.95 deg, rel. 90, (1 1 0); 40.72 deg, rel. 74, (1 1 13); 40.61 deg, rel. 71, (2 0 -13); 55.03 deg, rel. 65, (3 1 0); 32.53 deg, rel. 39, (2 0 -5); 42.13 deg, rel. 35, (0 0 21); 56.04 deg, rel. 33, (3 1 -5); 38.06 deg, rel. 29, (1 1 -11); 31.19 deg, rel. 26, (2 0 2)



Entry 2:
Calculated PXRD pattern of Ba2SmReO6 for a wavelength of 1.5418 Å, from DFT lattice parameters and positions (GGA-PBE).

Crystal structure
Unit cell a=8.5715 b=8.5715 c=8.5715 alpha=90.00 beta=90.00 gamma=90.00
Space group Fm-3m (No. 225)
Symmetry-distinct sites (fractional):
Ba (0.2500, 0.2500, 0.2500)
Sm (0.0000, 0.0000, 0.0000)
Re (0.0000, 0.0000, 0.5000)
O (0.0000, 0.0000, 0.2682)

Peak list (10 most intense, 15 to 90 degrees two-theta, in order of falling intensity)
29.47 deg, rel. 100, (2 2 0); 52.29 deg, rel. 41, (4 2 2); 42.17 deg, rel. 28, (4 0 0); 84.61 deg, rel. 22, (6 4 2); 69.34 deg, rel. 18, (6 2 0); 61.17 deg, rel. 18, (4 4 0); 77.09 deg, rel. 6, (4 4 4); 20.73 deg, rel. 4, (2 0 0); 47.43 deg, rel. 2, (4 2 0); 17.92 deg, rel. 1, (1 1 1)



Entry 3:
Calculated PXRD pattern of CeMg3 for a wavelength of 1.5418 Å, from DFT lattice parameters and positions (GGA-PBE).

Crystal structure
Unit cell a=3.1329 b=5.3129 c=6.2255 alpha=90.00 beta=90.00 gamma=90.00
Space group Pmm2 (No. 25)
Symmetry-distinct sites (fractional):
Ce (0.0000, 0.0000, 0.0000)
Mg (0.0000, 0.5000, 0.6765)
Mg (0.5000, 0.0000, 0.4979)
Mg (0.5000, 0.5000, 0.2058)

Peak list (10 most intense, 15 to 90 degrees two-theta, in order of falling intensity)
36.28 deg, rel. 100, (1 1 1); 33.36 deg, rel. 74, (0 1 2); 21.99 deg, rel. 69, (0 1 1); 16.69 deg, rel. 60, (0 1 0); 31.98 deg, rel. 47, (1 0 1); 33.74 deg, rel. 40, (0 2 0); 47.17 deg, rel. 31, (1 2 1); 33.20 deg, rel. 23, (1 1 0); 28.68 deg, rel. 23, (0 0 2); 64.25 deg, rel. 23, (1 2 3)



Entry 4:
Calculated PXRD pattern of SbRh2 for a wavelength of 1.5418 Å, from DFT lattice parameters and positions (GGA-PBE).

Crystal structure
Unit cell a=5.8472 b=4.2228 c=8.0516 alpha=90.00 beta=90.00 gamma=90.00
Space group Pnma (No. 62)
Symmetry-distinct sites (fractional):
Sb (0.2161, 0.2500, 0.1076)
Rh (0.0391, 0.2500, 0.8003)
Rh (0.1590, 0.2500, 0.4304)

Peak list (10 most intense, 15 to 90 degrees two-theta, in order of falling intensity)
39.80 deg, rel. 100, (0 1 3); 39.11 deg, rel. 88, (2 1 1); 42.83 deg, rel. 80, (0 2 0); 37.41 deg, rel. 62, (2 1 0); 34.39 deg, rel. 26, (1 1 2); 38.04 deg, rel. 25, (2 0 2); 45.90 deg, rel. 25, (2 0 3); 36.85 deg, rel. 20, (1 0 3); 64.58 deg, rel. 17, (2 2 3); 72.28 deg, rel. 15, (1 0 6)



Entry 5:
Calculated PXRD pattern of Sm2MgSe4 for a wavelength of 1.5418 Å, from DFT lattice parameters and positions (GGA-PBE).

Crystal structure
Unit cell a=8.2978 b=7.7686 c=12.2911 alpha=90.00 beta=90.00 gamma=90.00
Space group Pnma (No. 62)
Symmetry-distinct sites (fractional):
Sm (0.0531, 0.2500, 0.1866)
Sm (0.0613, 0.7500, 0.4725)
Mg (0.1794, 0.7500, 0.0906)
Se (0.1086, 0.2500, 0.9538)
Se (0.1363, 0.0001, 0.6564)
Se (0.2241, 0.2500, 0.3877)

Peak list (10 most intense, 15 to 90 degrees two-theta, in order of falling intensity)
33.58 deg, rel. 100, (1 2 3); 35.21 deg, rel. 88, (3 1 1); 22.89 deg, rel. 73, (0 2 0); 32.40 deg, rel. 66, (2 2 1); 29.25 deg, rel. 49, (1 2 2); 46.77 deg, rel. 42, (0 4 0); 21.35 deg, rel. 40, (2 0 0); 48.74 deg, rel. 37, (3 3 1); 39.30 deg, rel. 36, (3 0 3); 27.16 deg, rel. 32, (0 2 2)



Entry 6:
Calculated PXRD pattern of SbO3 for a wavelength of 1.5418 Å, from DFT lattice parameters and positions (GGA-PBE).

Crystal structure
Unit cell a=10.4540 b=10.4540 c=10.4540 alpha=90.00 beta=90.00 gamma=90.00
Space group Fd-3m (No. 227, origin choice 2)
Symmetry-distinct sites (fractional):
Sb (0.0000, 0.0000, 0.0000)
O (0.0725, 0.3750, 0.3750)

Peak list (10 most intense, 15 to 90 degrees two-theta, in order of falling intensity)
29.60 deg, rel. 100, (2 2 2); 28.31 deg, rel. 91, (3 1 1); 49.31 deg, rel. 50, (4 4 0); 58.57 deg, rel. 42, (6 2 2); 51.73 deg, rel. 36, (5 3 1); 45.06 deg, rel. 28, (3 3 3); 34.31 deg, rel. 24, (4 0 0); 63.56 deg, rel. 23, (5 5 1); 69.00 deg, rel. 22, (7 3 1); 37.50 deg, rel. 22, (3 3 1)



Entry 7:
Calculated PXRD pattern of EuMgH4 for a wavelength of 1.5418 Å, from DFT lattice parameters and positions (GGA-PBE).

Crystal structure
Unit cell a=3.8793 b=13.1333 c=5.5682 alpha=90.00 beta=90.00 gamma=90.00
Space group Cmc2_1 (No. 36)
Symmetry-distinct sites (fractional):
Eu (0.0000, 0.1519, 0.0000)
Mg (0.0000, 0.4143, 0.0483)
H (0.0000, 0.0728, 0.5914)
H (0.0000, 0.2958, 0.2541)
H (0.0000, 0.3303, 0.7689)
H (0.0000, 0.4559, 0.4005)

Peak list (10 most intense, 15 to 90 degrees two-theta, in order of falling intensity)
28.86 deg, rel. 100, (1 1 1); 20.92 deg, rel. 86, (0 2 1); 30.80 deg, rel. 47, (1 3 0); 45.12 deg, rel. 35, (1 3 2); 44.73 deg, rel. 34, (1 5 1); 32.15 deg, rel. 30, (0 0 2); 31.64 deg, rel. 29, (0 4 1); 27.16 deg, rel. 28, (0 4 0); 23.92 deg, rel. 17, (1 1 0); 42.58 deg, rel. 16, (0 4 2)



Entry 8:
Calculated PXRD pattern of MnSe for a wavelength of 1.5418 Å, from DFT lattice parameters and positions (GGA-PBE).

Crystal structure
Unit cell a=3.8594 b=3.8594 c=5.9724 alpha=90.00 beta=90.00 gamma=120.00
Space group P6_3/mmc (No. 194)
Symmetry-distinct sites (fractional):
Mn (0.0000, 0.0000, 0.0000)
Se (0.3333, 0.6667, 0.2500)

Peak list (10 most intense, 15 to 90 degrees two-theta, in order of falling intensity)
30.65 deg, rel. 100, (1 0 1); 40.51 deg, rel. 89, (1 0 2); 47.09 deg, rel. 56, (1 1 0); 81.51 deg, rel. 21, (1 1 4); 63.83 deg, rel. 21, (2 0 2); 53.58 deg, rel. 20, (1 0 3); 83.00 deg, rel. 20, (2 1 2); 57.24 deg, rel. 16, (2 0 1); 77.18 deg, rel. 14, (2 1 1); 87.57 deg, rel. 9, (3 0 0)



Entry 9:
Calculated PXRD pattern of FeNi for a wavelength of 1.5418 Å, from DFT lattice parameters and positions (GGA-PBE).

Crystal structure
Unit cell a=2.8740 b=3.9626 c=3.9493 alpha=90.00 beta=90.00 gamma=90.00
Space group Cmmm (No. 65)
Symmetry-distinct sites (fractional):
Fe (0.0000, 0.0000, 0.0000)
Ni (0.0000, 0.5000, 0.5000)

Peak list (9 most intense, 15 to 90 degrees two-theta, in order of falling intensity)
45.24 deg, rel. 100, (1 1 1); 45.80 deg, rel. 24, (0 2 0); 45.96 deg, rel. 24, (0 0 2); 84.34 deg, rel. 14, (1 3 1); 66.90 deg, rel. 14, (0 2 2); 84.58 deg, rel. 14, (1 1 3); 64.89 deg, rel. 8, (2 0 0); 83.02 deg, rel. 7, (2 2 0); 83.13 deg, rel. 7, (2 0 2)



Entry 10:
Calculated PXRD pattern of Ac2CuIr for a wavelength of 1.5418 Å, from DFT lattice parameters and positions (GGA-PBE).

Crystal structure
Unit cell a=7.4875 b=7.4875 c=7.4875 alpha=90.00 beta=90.00 gamma=90.00
Space group Fm-3m (No. 225)
Symmetry-distinct sites (fractional):
Ac (0.2500, 0.2500, 0.2500)
Cu (0.0000, 0.0000, 0.0000)
Ir (0.0000, 0.0000, 0.5000)

Peak list (10 most intense, 15 to 90 degrees two-theta, in order of falling intensity)
33.86 deg, rel. 100, (2 2 0); 60.58 deg, rel. 38, (4 2 2); 48.64 deg, rel. 18, (4 0 0); 81.26 deg, rel. 17, (6 2 0); 71.24 deg, rel. 12, (4 4 0); 23.77 deg, rel. 8, (2 0 0); 20.55 deg, rel. 7, (1 1 1); 39.93 deg, rel. 4, (3 1 1); 54.83 deg, rel. 4, (4 2 0); 41.79 deg, rel. 3, (2 2 2)



Entry 11:
Calculated PXRD pattern of Na2GaAgBr6 for a wavelength of 1.5418 Å, from DFT lattice parameters and positions (GGA-PBE).

Crystal structure
Unit cell a=10.7340 b=10.7340 c=10.7340 alpha=90.00 beta=90.00 gamma=90.00
Space group Fm-3m (No. 225)
Symmetry-distinct sites (fractional):
Na (0.2500, 0.2500, 0.2500)
Ga (0.0000, 0.0000, 0.0000)
Ag (0.0000, 0.0000, 0.5000)
Br (0.0000, 0.0000, 0.2398)

Peak list (10 most intense, 15 to 90 degrees two-theta, in order of falling intensity)
16.52 deg, rel. 100, (2 0 0); 33.39 deg, rel. 100, (4 0 0); 47.94 deg, rel. 69, (4 4 0); 37.47 deg, rel. 49, (4 2 0); 28.81 deg, rel. 47, (2 2 2); 79.94 deg, rel. 29, (8 4 0); 51.05 deg, rel. 25, (6 0 0); 59.68 deg, rel. 23, (4 4 4); 89.45 deg, rel. 22, (8 4 4); 56.90 deg, rel. 18, (6 2 2)